(1)
Structure and simulated powder diffractogram of SmDy2TmSe5 (DFT lattice parameters and positions (GGA-PBE); CuKα).

Main lines, sorted by position (2θ from 5° to 70°):
hkl 0 0 1, 2θ = 8.15°, 10.850 Å, rel. 868
hkl 1 1 0, 2θ = 24.77°, 3.594 Å, rel. 1000
hkl 1 0 3, 2θ = 30.33°, 2.947 Å, rel. 392
hkl 1 1 3, 2θ = 35.20°, 2.549 Å, rel. 456
hkl 2 0 0, 2θ = 35.32°, 2.541 Å, rel. 833
hkl 1 0 4, 2θ = 37.59°, 2.393 Å, rel. 494
hkl 2 1 3, 2θ = 47.23°, 1.925 Å, rel. 232
hkl 2 2 0, 2θ = 50.81°, 1.797 Å, rel. 295
hkl 2 1 4, 2θ = 52.53°, 1.742 Å, rel. 378
hkl 3 1 0, 2θ = 57.31°, 1.608 Å, rel. 218

Lattice parameters (Å, degrees): 5.083 5.083 10.850 90.00 90.00 90.00
Space group P4/mmm (No. 123)
Inequivalent atoms, fractional coordinates:
Sm  0.000  0.000  0.000 (multiplicity 1)
Dy  0.500  0.500  0.342 (multiplicity 2)
Tm  0.000  0.000  0.500 (multiplicity 1)
Se  0.000  0.000  0.251 (multiplicity 2)
Se  0.000  0.500  0.500 (multiplicity 2)
Se  0.500  0.500  0.000 (multiplicity 1)

(2)
Structure and simulated powder diffractogram of Tb8PrNd5 (DFT lattice parameters and positions (GGA-PBE); CuKα).

Main lines, sorted by position (2θ from 5° to 70°):
hkl 1 1 -3, 2θ = 29.69°, 3.009 Å, rel. 377
hkl 6 0 -2, 2θ = 30.91°, 2.893 Å, rel. 1000
hkl 2 0 4, 2θ = 31.07°, 2.878 Å, rel. 482
hkl 4 0 -6, 2θ = 32.28°, 2.774 Å, rel. 447
hkl 3 1 1, 2θ = 32.60°, 2.746 Å, rel. 439
hkl 5 1 1, 2θ = 41.13°, 2.195 Å, rel. 141
hkl 1 1 -7, 2θ = 47.49°, 1.914 Å, rel. 191
hkl 0 2 0, 2θ = 51.12°, 1.787 Å, rel. 128
hkl 6 2 -2, 2θ = 60.99°, 1.519 Å, rel. 290
hkl 4 2 -6, 2θ = 61.76°, 1.502 Å, rel. 139

Lattice parameters (Å, degrees): 17.536 3.574 16.962 90.00 118.09 90.00
Space group C2/m (No. 12)
Inequivalent atoms, fractional coordinates:
Tb  0.079  0.000  0.223 (multiplicity 4)
Tb  0.081  0.500  0.723 (multiplicity 4)
Tb  0.147  0.000  0.939 (multiplicity 4)
Tb  0.216  0.000  0.646 (multiplicity 4)
Pr  0.000  0.500  0.000 (multiplicity 2)
Nd  0.000  0.000  0.500 (multiplicity 2)
Nd  0.145  0.500  0.441 (multiplicity 4)
Nd  0.214  0.500  0.144 (multiplicity 4)

(3)
Structure and simulated powder diffractogram of K7Na5 (DFT lattice parameters and positions (GGA-PBE); CuKα).

Main lines, sorted by position (2θ from 5° to 70°):
hkl 1 1 3, 2θ = 22.60°, 3.935 Å, rel. 238
hkl 2 0 3, 2θ = 23.66°, 3.761 Å, rel. 125
hkl 1 1 -4, 2θ = 23.97°, 3.712 Å, rel. 261
hkl 3 1 -1, 2θ = 26.35°, 3.383 Å, rel. 1000
hkl 2 0 -5, 2θ = 26.56°, 3.356 Å, rel. 734
hkl 0 2 0, 2θ = 26.84°, 3.321 Å, rel. 478
hkl 1 1 -5, 2θ = 28.07°, 3.178 Å, rel. 133
hkl 2 2 -5, 2θ = 38.11°, 2.361 Å, rel. 176
hkl 4 2 3, 2θ = 46.68°, 1.946 Å, rel. 131
hkl 3 3 -1, 2θ = 47.08°, 1.930 Å, rel. 256

Lattice parameters (Å, degrees): 11.793 6.642 18.194 90.00 102.05 90.00
Space group C2/m (No. 12)
Inequivalent atoms, fractional coordinates:
K  0.000  0.000  0.000 (multiplicity 2)
K  0.073  0.500  0.720 (multiplicity 4)
K  0.190  0.000  0.570 (multiplicity 4)
K  0.218  0.500  0.165 (multiplicity 4)
Na  0.000  0.500  0.500 (multiplicity 2)
Na  0.111  0.000  0.327 (multiplicity 4)
Na  0.153  0.500  0.945 (multiplicity 4)

(4)
Structure and simulated powder diffractogram of La3Pm5Ho (DFT lattice parameters and positions (GGA-PBE); CuKα).

Main lines, sorted by position (2θ from 5° to 70°):
hkl 0 2 0, 2θ = 20.58°, 4.316 Å, rel. 614
hkl 2 2 1, 2θ = 27.74°, 3.216 Å, rel. 536
hkl 0 0 4, 2θ = 27.89°, 3.199 Å, rel. 496
hkl 1 1 -4, 2θ = 28.76°, 3.104 Å, rel. 752
hkl 4 0 -2, 2θ = 30.05°, 2.973 Å, rel. 1000
hkl 2 2 -3, 2θ = 30.46°, 2.934 Å, rel. 664
hkl 2 2 2, 2θ = 31.28°, 2.859 Å, rel. 437
hkl 3 1 2, 2θ = 31.80°, 2.814 Å, rel. 832
hkl 1 3 -1, 2θ = 32.36°, 2.767 Å, rel. 336
hkl 4 4 -2, 2θ = 52.43°, 1.745 Å, rel. 340

Lattice parameters (Å, degrees): 12.104 8.632 13.304 90.00 105.87 90.00
Space group C2/m (No. 12)
Inequivalent atoms, fractional coordinates:
La  0.000  0.000  0.000 (multiplicity 2)
La  0.000  0.000  0.500 (multiplicity 2)
La  0.058  0.500  0.212 (multiplicity 4)
La  0.226  0.500  0.451 (multiplicity 4)
Pm  0.000  0.316  0.000 (multiplicity 4)
Pm  0.079  0.500  0.618 (multiplicity 4)
Pm  0.167  0.191  0.781 (multiplicity 8)
Pm  0.236  0.500  0.958 (multiplicity 4)
Ho  0.120  0.000  0.265 (multiplicity 4)

(5)
Structure and simulated powder diffractogram of Nd2CuP4Pt3 (DFT lattice parameters and positions (GGA-PBE); CuKα).

Main lines, sorted by position (2θ from 5° to 70°):
hkl 1 0 2, 2θ = 27.98°, 3.189 Å, rel. 465
hkl 1 1 0, 2θ = 29.32°, 3.046 Å, rel. 318
hkl 1 1 1, 2θ = 30.83°, 2.901 Å, rel. 657
hkl 1 1 2, 2θ = 35.01°, 2.563 Å, rel. 767
hkl 1 0 3, 2θ = 35.20°, 2.549 Å, rel. 1000
hkl 2 0 0, 2θ = 41.94°, 2.154 Å, rel. 798
hkl 1 1 4, 2θ = 48.65°, 1.871 Å, rel. 202
hkl 1 0 5, 2θ = 52.71°, 1.736 Å, rel. 208
hkl 2 1 3, 2θ = 55.88°, 1.645 Å, rel. 534
hkl 2 2 0, 2θ = 60.81°, 1.523 Å, rel. 265

Lattice parameters (Å, degrees): 4.308 4.308 9.487 90.00 90.00 90.00
Space group P-4m2 (No. 115)
Inequivalent atoms, fractional coordinates:
Nd  0.000  0.500  0.248 (multiplicity 2)
Cu  0.000  0.000  0.500 (multiplicity 1)
P  0.000  0.000  0.000 (multiplicity 1)
P  0.000  0.500  0.629 (multiplicity 2)
P  0.500  0.500  0.000 (multiplicity 1)
Pt  0.000  0.500  0.884 (multiplicity 2)
Pt  0.500  0.500  0.500 (multiplicity 1)

(6)
Structure and simulated powder diffractogram of CaTb7Sm3 (DFT lattice parameters and positions (GGA-PBE); CuKα).

Main lines, sorted by position (2θ from 5° to 70°):
hkl 0 0 1, 2θ = 10.15°, 8.717 Å, rel. 41
hkl 0 1 1, 2θ = 17.59°, 5.041 Å, rel. 96
hkl 1 0 2, 2θ = 24.98°, 3.564 Å, rel. 76
hkl 2 0 1, 2θ = 30.72°, 2.911 Å, rel. 1000
hkl 0 2 2, 2θ = 35.62°, 2.521 Å, rel. 511
hkl 1 2 1, 2θ = 39.99°, 2.255 Å, rel. 50
hkl 2 2 0, 2θ = 51.26°, 1.782 Å, rel. 355
hkl 0 4 1, 2θ = 60.93°, 1.521 Å, rel. 317
hkl 0 2 5, 2θ = 61.03°, 1.518 Å, rel. 107
hkl 4 0 2, 2θ = 63.93°, 1.456 Å, rel. 93

Lattice parameters (Å, degrees): 7.1356 7.1356 8.7166 90.00 90.00 120.00
Space group P3m1 (No. 156)
Inequivalent atoms, fractional coordinates:
Ca  0.0000  0.0000  0.0000 (multiplicity 1)
Tb  0.0044  0.5022  0.9998 (multiplicity 3)
Tb  0.3333  0.6667  0.3224 (multiplicity 1)
Tb  0.3364  0.1682  0.3319 (multiplicity 3)
Sm  0.1698  0.3396  0.6562 (multiplicity 3)

(7)
Structure and simulated powder diffractogram of Be2V5Si (DFT lattice parameters and positions (GGA-PBE); CuKα).

Main lines, sorted by position (2θ from 5° to 70°):
hkl 1 1 2, 2θ = 26.84°, 3.321 Å, rel. 60
hkl 0 0 4, 2θ = 34.14°, 2.627 Å, rel. 140
hkl 2 1 1, 2θ = 34.19°, 2.623 Å, rel. 452
hkl 1 1 4, 2θ = 40.23°, 2.242 Å, rel. 280
hkl 2 1 3, 2θ = 42.16°, 2.143 Å, rel. 1000
hkl 2 0 4, 2θ = 45.68°, 1.986 Å, rel. 375
hkl 3 1 0, 2θ = 47.48°, 1.915 Å, rel. 439
hkl 0 0 6, 2θ = 52.15°, 1.754 Å, rel. 86
hkl 4 1 1, 2θ = 64.00°, 1.455 Å, rel. 82
hkl 4 1 3, 2θ = 69.38°, 1.355 Å, rel. 209

Lattice parameters (Å, degrees): 6.056 6.056 10.524 90.00 90.00 90.00
Space group I4/mcm (No. 140)
Inequivalent atoms, fractional coordinates:
Be  0.125  0.375  0.000 (multiplicity 8)
V  0.000  0.000  0.000 (multiplicity 4)
V  0.166  0.334  0.351 (multiplicity 16)
Si  0.000  0.000  0.250 (multiplicity 4)

(8)
Structure and simulated powder diffractogram of Li2AcDyTe4 (DFT lattice parameters and positions (GGA-PBE); CuKα).

Main lines, sorted by position (2θ from 5° to 70°):
hkl 1 0 0, 2θ = 12.45°, 7.110 Å, rel. 309
hkl 0 1 1, 2θ = 23.10°, 3.851 Å, rel. 309
hkl 1 1 1, 2θ = 28.28°, 3.156 Å, rel. 1000
hkl 1 0 2, 2θ = 31.00°, 2.885 Å, rel. 190
hkl 1 1 -3, 2θ = 39.84°, 2.263 Å, rel. 256
hkl 0 2 0, 2θ = 39.96°, 2.256 Å, rel. 135
hkl 3 1 -1, 2θ = 40.98°, 2.202 Å, rel. 245
hkl 2 2 -2, 2θ = 49.67°, 1.836 Å, rel. 141
hkl 2 2 2, 2θ = 58.49°, 1.578 Å, rel. 123
hkl 4 2 0, 2θ = 67.02°, 1.396 Å, rel. 124

Lattice parameters (Å, degrees): 7.571 4.513 7.845 90.00 110.08 90.00
Space group P2/m (No. 10)
Inequivalent atoms, fractional coordinates:
Li  0.000  0.000  0.000 (multiplicity 1)
Li  0.000  0.500  0.500 (multiplicity 1)
Ac  0.500  0.000  0.500 (multiplicity 1)
Dy  0.500  0.500  0.000 (multiplicity 1)
Te  0.233  0.500  0.227 (multiplicity 2)
Te  0.243  0.000  0.764 (multiplicity 2)